Computed powder diffraction line list of La7Ho2Mg2 for λ = 1.5418 Å (Cu Kα), from the GGA-PBE geometry in Alexandria.
Kinematic intensities with the Lorentz-polarization factor, no thermal factor.

Largest 12 diffraction maxima, sorted by position, 2θ = 5–70°:
| h k l | Position (°2θ) | I (rel.) |
| --- | --- | --- |
| 0 2 1 | 21.5 | 114 |
| 3 1 -1 | 26.5 | 457 |
| 1 1 -2 | 29.7 | 369 |
| 0 4 0 | 30.4 | 552 |
| 2 2 1 | 31.5 | 1000 |
| 2 2 -2 | 33.1 | 209 |
| 3 3 -1 | 34.3 | 266 |
| 1 3 -2 | 36.8 | 294 |
| 2 6 1 | 54.7 | 295 |
| 4 0 2 | 56.7 | 160 |
| 2 2 -4 | 61.6 | 108 |
| 4 4 2 | 65.7 | 146 |

Structural model:
abc: 10.7685 11.7582 6.2509
angles: 90.00 111.60 90.00
Space group C2/m (No. 12)
Inequivalent atoms, fractional coordinates:
La 0.0000 0.0000 0.0000 x2
La 0.0868 0.5000 0.7953 x4
La 0.1765 0.2478 0.1703 x8
Ho 0.1988 0.0000 0.5860 x4
Mg 0.0000 0.2274 0.5000 x4